Record 1
Starting from a PBE-relaxed structure, the powder XRD pattern of Cd8In3Hg2 was calculated for copper Kα.
Lines closer than 0.1° are merged.

Cell and atoms:
```
data_Cd8In3Hg2
_chemical_formula_sum 'Cd24 In9 Hg6'
_cell_length_a 5.8117
_cell_length_b 5.8117
_cell_length_c 36.6377
_cell_angle_alpha 90.00
_cell_angle_beta 90.00
_cell_angle_gamma 120.00
_symmetry_space_group_name_H-M 'R -3 m'
_symmetry_Int_Tables_number 166
_symmetry_space_group_name_Hall '-R 3 2"'
loop_
_atom_site_label
_atom_site_type_symbol
_atom_site_fract_x
_atom_site_fract_y
_atom_site_fract_z
Cd1 Cd 0.0000 0.0000 0.1875
Cd2 Cd 0.0043 0.5021 0.2970
In1 In 0.0000 0.0000 0.2663
In2 In 0.0000 0.0000 0.5000
Hg1 Hg 0.0000 0.0000 0.1100
```

The 10 most intense peaks (2θ = 15–90°), low angle first:
(hkl), Position (°2θ), d_spacing, Rel. int.
1 0 1, 17.8, 4.986, 48
0 1 8, 26.3, 3.387, 53
1 1 0, 30.8, 2.906, 77
1 1 3, 31.7, 2.827, 100
2 0 2, 36.0, 2.493, 53
1 0 13, 36.5, 2.459, 96
2 0 5, 37.8, 2.380, 92
0 2 10, 43.6, 2.074, 69
2 1 13, 58.5, 1.577, 50
2 2 0, 64.1, 1.453, 44

Record 2
Starting from a PBE-relaxed structure, the powder XRD pattern of Cd5InHg7 was calculated for copper Kα.
Lines closer than 0.1° are merged.

Cell and atoms:
```
data_Cd5InHg7
_chemical_formula_sum 'Cd20 In4 Hg28'
_cell_length_a 14.013
_cell_length_b 4.330
_cell_length_c 21.551
_cell_angle_alpha 90.00
_cell_angle_beta 90.28
_cell_angle_gamma 90.00
_symmetry_space_group_name_H-M 'C 1 m 1'
_symmetry_Int_Tables_number 8
loop_
_symmetry_equiv_pos_as_xyz
'x,y,z'
'x,-y,z'
'x+1/2,y+1/2,z'
'x+1/2,-y+1/2,z'
loop_
_atom_site_label
_atom_site_type_symbol
_atom_site_fract_x
_atom_site_fract_y
_atom_site_fract_z
Cd1 Cd 0.000 0.000 0.000
Cd2 Cd 0.001 0.000 0.427
Cd3 Cd 0.169 0.500 0.005
Cd4 Cd 0.213 0.000 0.551
Cd5 Cd 0.249 0.500 0.659
Cd6 Cd 0.311 0.000 0.222
Cd7 Cd 0.420 0.000 0.655
Cd8 Cd 0.451 0.500 0.771
Cd9 Cd 0.478 0.500 0.223
Cd10 Cd 0.494 0.000 0.109
In1 In 0.162 0.000 0.889
In2 In 0.182 0.500 0.427
Hg1 Hg 0.051 0.500 0.539
Hg2 Hg 0.080 0.000 0.659
Hg3 Hg 0.115 0.500 0.771
Hg4 Hg 0.146 0.500 0.224
Hg5 Hg 0.155 0.000 0.112
Hg6 Hg 0.166 0.000 0.326
Hg7 Hg 0.288 0.000 0.769
Hg8 Hg 0.328 0.500 0.888
Hg9 Hg 0.330 0.500 0.115
Hg10 Hg 0.333 0.000 0.001
Hg11 Hg 0.340 0.000 0.438
Hg12 Hg 0.381 0.500 0.547
Hg13 Hg 0.462 0.000 0.324
Hg14 Hg 0.493 0.000 0.890
```

The 10 most intense peaks (2θ = 15–90°), low angle first:
(hkl), Position (°2θ), d_spacing, Rel. int.
3 1 3, 30.8, 2.901, 28
3 1 4, 32.8, 2.732, 100
3 1 -5, 35.0, 2.561, 88
3 1 5, 35.2, 2.552, 13
0 0 9, 37.6, 2.395, 41
6 0 -1, 38.8, 2.322, 16
6 0 -2, 39.4, 2.284, 14
0 2 0, 41.7, 2.165, 35
0 2 9, 57.4, 1.606, 24
3 1 -14, 67.6, 1.387, 15

Record 3
Starting from a PBE-relaxed structure, the powder XRD pattern of Cd2InHg4 was calculated for copper Kα.
Lines closer than 0.1° are merged.

Cell and atoms:
```
data_Cd2InHg4
_chemical_formula_sum 'Cd4 In2 Hg8'
_cell_length_a 6.364
_cell_length_b 3.474
_cell_length_c 16.189
_cell_angle_alpha 90.00
_cell_angle_beta 91.26
_cell_angle_gamma 90.00
_symmetry_space_group_name_H-M 'C 1 m 1'
_symmetry_Int_Tables_number 8
loop_
_symmetry_equiv_pos_as_xyz
'x,y,z'
'x,-y,z'
'x+1/2,y+1/2,z'
'x+1/2,-y+1/2,z'
loop_
_atom_site_label
_atom_site_type_symbol
_atom_site_fract_x
_atom_site_fract_y
_atom_site_fract_z
Cd1 Cd 0.000 0.000 0.000
Cd2 Cd 0.007 0.000 0.279
In1 In 0.473 0.500 0.713
Hg1 Hg 0.150 0.500 0.565
Hg2 Hg 0.166 0.500 0.861
Hg3 Hg 0.322 0.000 0.421
Hg4 Hg 0.330 0.000 0.139
```

The 10 most intense peaks (2θ = 15–90°), low angle first:
(hkl), Position (°2θ), d_spacing, Rel. int.
1 1 -1, 29.8, 3.002, 49
2 0 3, 33.0, 2.714, 59
1 1 -3, 33.6, 2.666, 100
2 0 -4, 35.5, 2.528, 48
1 1 4, 37.1, 2.423, 74
0 0 7, 39.0, 2.312, 47
3 1 0, 50.4, 1.810, 45
0 2 0, 52.7, 1.737, 20
3 1 -7, 64.8, 1.438, 21
2 2 -4, 65.2, 1.431, 24

Record 4
Starting from a PBE-relaxed structure, the powder XRD pattern of Cd3In5Hg2 was calculated for copper Kα.
Lines closer than 0.1° are merged.

Cell and atoms:
```
data_Cd3In5Hg2
_chemical_formula_sum 'Cd12 In20 Hg8'
_cell_length_a 18.173
_cell_length_b 6.227
_cell_length_c 9.554
_cell_angle_alpha 90.00
_cell_angle_beta 106.35
_cell_angle_gamma 90.00
_symmetry_space_group_name_H-M 'C 1 2/m 1'
_symmetry_Int_Tables_number 12
loop_
_symmetry_equiv_pos_as_xyz
'x,y,z'
'-x,-y,-z'
'-x,y,-z'
'x,-y,z'
'x+1/2,y+1/2,z'
'-x+1/2,-y+1/2,-z'
'-x+1/2,y+1/2,-z'
'x+1/2,-y+1/2,z'
loop_
_atom_site_label
_atom_site_type_symbol
_atom_site_fract_x
_atom_site_fract_y
_atom_site_fract_z
Cd1 Cd 0.000 0.250 0.000
Cd2 Cd 0.096 0.000 0.288
Cd3 Cd 0.096 0.500 0.810
In1 In 0.000 0.250 0.500
In2 In 0.195 0.000 0.606
In3 In 0.197 0.250 0.104
In4 In 0.198 0.500 0.601
Hg1 Hg 0.092 0.000 0.809
Hg2 Hg 0.094 0.500 0.286
```

The 10 most intense peaks (2θ = 15–90°), low angle first:
(hkl), Position (°2θ), d_spacing, Rel. int.
6 0 -2, 31.5, 2.843, 100
4 0 2, 32.1, 2.791, 97
2 2 1, 32.9, 2.719, 23
2 2 -2, 34.7, 2.583, 52
0 2 2, 34.8, 2.575, 50
4 2 0, 35.4, 2.534, 40
2 0 -4, 37.7, 2.388, 62
6 2 0, 42.6, 2.125, 34
10 0 0, 52.5, 1.744, 22
4 4 2, 69.1, 1.360, 29